For Hf2SiRhSe, a GGA-PBE-relaxed structure gives the computed XRD peak list in this record (Cu Kα (λ = 1.5418 Å)).

a b c (Å): 4.991 4.991 4.272
angles (deg): 90.00 90.00 90.00
Space group P4/mmm (No. 123)
Symmetry-distinct sites (fractional):
Hf1 0.000 0.500 0.000
Si1 0.000 0.000 0.000
Rh1 0.000 0.000 0.500
Se1 0.500 0.500 0.500

Principal peaks in the range 15° ≤ 2θ ≤ 90°, in order of falling intensity:
- hkl 1 1 1, 2θ = 32.92°, intensity 100
- hkl 2 0 0, 2θ = 35.99°, intensity 49
- hkl 3 1 1, 2θ = 62.77°, intensity 31
- hkl 2 0 2, 2θ = 56.73°, intensity 26
- hkl 2 2 0, 2θ = 51.81°, intensity 17
- hkl 0 0 2, 2θ = 42.32°, intensity 15
- hkl 2 2 2, 2θ = 69.04°, intensity 14
- hkl 0 0 1, 2θ = 20.79°, intensity 11
- hkl 1 1 3, 2θ = 71.44°, intensity 11
- hkl 4 2 0, 2θ = 87.39°, intensity 8